Starting from a DFT-relaxed cell (PBE, OQMD), the powder X-ray diffraction pattern of Al6OsC was computed for Cu Ka.
Intensities are scaled so that the largest is 100.

Largest 6 diffraction maxima, low angle first, 2θ from 5° to 70°:
2θ = 19.56°, I 100; 2θ = 32.20°, I 26; 2θ = 37.96°, I 57; 2θ = 39.71°, I 55; 2θ = 46.19°, I 30; 2θ = 50.61°, I 26

Cell and atoms:
Unit cell a=5.559 b=5.559 c=5.559 alpha=60.00 beta=60.00 gamma=60.00
Sites, in units of the cell vectors:
Al1 0.243 0.243 0.757
Al2 0.243 0.757 0.243
Al3 0.243 0.757 0.757
Al4 0.757 0.243 0.243
Al5 0.757 0.243 0.757
Al6 0.757 0.757 0.243
Os1 0.250 0.250 0.250
C1 0.500 0.500 0.500